The following is a theoretical XRD peak list of Ti3N4. It was derived from DFT lattice parameters and positions (PBE), using λ = 1.5418 Å (Cu Kα).

The 8 most intense peaks (5 to 70 degrees two-theta), most intense first:
- d 2.653, 33.8°, I = 100, (3 0 2)
- d 2.490, 36.1°, I = 65, (1 1 2)
- d 1.782, 51.3°, I = 45, (2 1 4)
- d 2.534, 35.4°, I = 37, (2 1 0)
- d 1.573, 58.7°, I = 36, (2 1 5)
- d 2.177, 41.5°, I = 34, (1 1 3)
- d 1.517, 61.1°, I = 32, (5 1 2)
- d 2.123, 42.6°, I = 25, (4 0 2)

Cell lengths 9.376, 3.012, 10.030 Å; angles 90.00, 90.00, 90.00 degrees
Space group Pnma (No. 62)
Asymmetric unit:
Ti (0.070, 0.250, 0.125) x4
Ti (0.109, 0.250, 0.593) x4
Ti (0.223, 0.250, 0.856) x4
N (0.009, 0.250, 0.774) x4
N (0.104, 0.750, 0.467) x4
N (0.141, 0.750, 0.984) x4
N (0.240, 0.750, 0.714) x4

---

The following is a theoretical XRD peak list of TiN2. It was derived from DFT lattice parameters and positions (PBE), using λ = 1.5418 Å (Cu Kα).

The 8 most intense peaks (5 to 70 degrees two-theta), most intense first:
- d 2.012, 45.0°, I = 100, (1 1 2)
- d 3.075, 29.0°, I = 46, (1 1 0)
- d 2.174, 41.5°, I = 45, (2 0 0)
- d 1.684, 54.5°, I = 27, (2 0 2)
- d 1.375, 68.2°, I = 21, (3 1 0)
- d 1.537, 60.2°, I = 12, (2 2 0)
- d 1.827, 49.9°, I = 9, (2 1 1)
- d 2.662, 33.7°, I = 6, (0 0 2)

Cell lengths 4.348, 4.348, 5.324 Å; angles 90.00, 90.00, 90.00 degrees
Space group I4/mcm (No. 140)
Asymmetric unit:
Ti (0.000, 0.000, 0.250) x4
N (0.113, 0.387, 0.000) x8